Na5Hg6: theoretical powder XRD pattern (a wavelength of 1.5418 Å), based on DFT lattice parameters and positions (PBE).
Kinematic intensities with the Lorentz-polarization factor, no thermal factor.

Unit cell a=5.1368 b=7.5435 c=15.0301 alpha=90.00 beta=90.00 gamma=90.00
Space group Immm (No. 71)
Inequivalent atoms, fractional coordinates:
Na  0.0000  0.0000  0.0000
Na  0.0000  0.0000  0.3029
Na  0.0000  0.5000  0.3427
Hg  0.0000  0.2046  0.5000
Hg  0.0000  0.2942  0.1395

The 10 most intense peaks (2θ = 10–90°), sorted by position:
index	2theta	I_rel
0 1 1	13.1	17
0 2 0	23.6	44
1 0 3	24.8	83
1 2 3	34.5	100
2 0 0	34.9	32
0 3 1	36.2	17
2 2 0	42.6	20
1 3 4	46.9	20
3 0 3	56.8	16
3 2 3	62.4	18

La6CePm2Sc: theoretical powder XRD pattern (a wavelength of 1.5418 Å), based on DFT lattice parameters and positions (PBE).
Kinematic intensities with the Lorentz-polarization factor, no thermal factor.

Unit cell a=11.6408 b=7.1135 c=8.8722 alpha=90.00 beta=107.27 gamma=90.00
Space group C2/m (No. 12)
Inequivalent atoms, fractional coordinates:
La  0.1273  0.0000  0.4094
La  0.1689  0.2639  0.7873
Ce  0.0000  0.0000  0.0000
Pm  0.0950  0.5000  0.1797
Sc  0.0000  0.5000  0.5000

The 10 most intense peaks (2θ = 10–90°), sorted by position:
index	2theta	I_rel
1 1 2	27.7	38
3 1 -2	29.7	17
2 2 0	29.8	25
2 2 -1	30.0	100
4 0 -1	30.7	25
2 0 -3	31.0	19
3 1 1	31.7	29
4 0 -2	32.9	68
2 2 1	33.3	23
2 2 4	57.1	21

TaV2Ru4: theoretical powder XRD pattern (a wavelength of 1.5418 Å), based on DFT lattice parameters and positions (PBE).
Kinematic intensities with the Lorentz-polarization factor, no thermal factor.

Unit cell a=6.0506 b=6.0506 c=5.9396 alpha=90.00 beta=90.00 gamma=90.00
Space group I4/mmm (No. 139)
Inequivalent atoms, fractional coordinates:
Ta  0.0000  0.0000  0.0000
V  0.0000  0.5000  0.0000
Ru  0.2500  0.2500  0.2500

The 10 most intense peaks (2θ = 10–90°), sorted by position:
index	2theta	I_rel
1 0 1	21.0	42
2 1 1	36.5	21
2 2 0	42.2	51
2 0 2	42.7	100
3 0 1	47.6	6
3 2 1	57.0	6
4 0 0	61.3	17
0 0 4	62.6	8
4 2 2	77.5	33
2 2 4	78.4	16

LiPdI: theoretical powder XRD pattern (a wavelength of 1.5418 Å), based on DFT lattice parameters and positions (PBE).
Kinematic intensities with the Lorentz-polarization factor, no thermal factor.

Unit cell a=4.4985 b=4.4996 c=8.5293 alpha=85.63 beta=85.53 gamma=62.78
Space group P1 (No. 1)
Inequivalent atoms, fractional coordinates:
Li  0.0000  0.0000  0.0000
Li  0.3237  0.3208  0.7651
Pd  0.0006  0.9976  0.6952
Pd  0.6248  0.6233  0.8782
I  0.3794  0.3803  0.1277
I  0.6799  0.6759  0.5751

The 10 most intense peaks (2θ = 10–90°), sorted by position:
index	2theta	I_rel
0 0 1	10.4	100
0 0 2	20.9	31
0 1 0	22.2	34
1 0 1	24.2	88
1 1 1	24.6	51
1 0 -1	25.1	47
1 1 3	37.8	30
1 -1 0	38.4	42
1 0 -3	39.9	79
2 1 0	40.3	51

TmZr5Os6: theoretical powder XRD pattern (a wavelength of 1.5418 Å), based on DFT lattice parameters and positions (PBE).
Kinematic intensities with the Lorentz-polarization factor, no thermal factor.

Unit cell a=4.6649 b=14.0093 c=6.5900 alpha=90.00 beta=90.00 gamma=90.00
Space group Cmmm (No. 65)
Inequivalent atoms, fractional coordinates:
Tm  0.0000  0.0000  0.0000
Zr  0.0000  0.0000  0.5000
Zr  0.0000  0.3334  0.5000
Zr  0.0000  0.3338  0.0000
Os  0.0000  0.1691  0.2523
Os  0.0000  0.5000  0.2558

The 10 most intense peaks (2θ = 10–90°), sorted by position:
index	2theta	I_rel
1 3 0	27.0	9
2 0 0	38.6	100
2 0 2	47.8	3
2 6 0	55.7	17
3 3 0	63.0	3
1 3 4	63.1	1
3 3 2	69.8	29
2 0 4	69.9	6
0 12 0	82.7	2
4 0 0	82.8	9